Entry 1:
Computed powder diffraction line list
Compound: NaSr3Pt8
Radiation: Cu Kα, 1.54184 Å
Structure: the GGA-PBE geometry in Alexandria

Top 10 peaks for 5 to 70 degrees two-theta, by intensity:
two_theta	I_rel
38.19	1000
19.69	783
39.94	743
38.30	334
61.66	333
46.50	320
40.12	240
67.75	222
68.01	217
50.87	103

Structure:
```
NaSr3Pt8
1.0
2.7663 1.5971 8.9894
-2.7663 1.5971 8.9894
0.0000 -3.1943 8.9894
Na Sr Pt
1 3 8
direct
0.0000 0.0000 0.0000
0.3705 0.3705 0.3705
0.4979 0.4979 0.4979
0.8780 0.8780 0.8780
0.1863 0.1863 0.1863
0.4356 0.9359 0.9359
0.4370 0.4370 0.9356
0.4370 0.9356 0.4370
0.6860 0.6860 0.6860
0.9359 0.4356 0.9359
0.9356 0.4370 0.4370
0.9359 0.9359 0.4356
```

***

Entry 2:
Computed powder diffraction line list
Compound: NaSr8Pt4
Radiation: Cu Kα, 1.54184 Å
Structure: the GGA-PBE geometry in Alexandria

Top 10 peaks for 5 to 70 degrees two-theta, by intensity:
two_theta	I_rel
12.40	1000
42.52	861
32.76	654
8.17	615
8.38	583
24.30	561
36.94	557
10.99	542
26.03	479
30.73	460

Structure:
```
NaSr8Pt4
1.0
10.6257 -2.2227 0.0000
10.6257 2.2227 0.0000
-9.3225 0.0000 10.8210
Na Sr Pt
1 8 4
direct
0.0000 0.0000 0.0000
0.0412 0.0412 0.7456
0.2890 0.2890 0.9234
0.3351 0.3351 0.6613
0.3723 0.3723 0.4151
0.6304 0.6304 0.5871
0.6672 0.6672 0.3404
0.7133 0.7133 0.0787
0.9612 0.9612 0.2565
0.1474 0.1474 0.4621
0.3394 0.3394 0.1760
0.6629 0.6629 0.8259
0.8549 0.8549 0.5396
```